No. 1
U4Sb2C: theoretical XRD peak list (Cu Kα X-rays), based on a GGA-PBE-relaxed structure.
Intensities are scaled so that the largest is 100.

Atomic structure:
```
14
Lattice="4.6011 0.0000 0.0000 0.0000 4.6011 0.0000 0.0000 0.0000 15.7921" Properties=species:S:1:pos:R:3 pbc="T T T"
U 0.0000 0.0000 2.3895
U 0.0000 0.0000 13.4026
U 0.0000 2.3006 0.0000
U 0.0000 2.3006 7.8960
U 2.3006 0.0000 0.0000
U 2.3006 0.0000 7.8960
U 2.3006 2.3006 5.5066
U 2.3006 2.3006 10.2855
Sb 0.0000 0.0000 5.5999
Sb 0.0000 0.0000 10.1922
Sb 2.3006 2.3006 2.2962
Sb 2.3006 2.3006 13.4959
C 0.0000 0.0000 0.0000
C 2.3006 2.3006 7.8960
```

Top 12 peaks for 10° ≤ 2θ ≤ 90°, sorted by position:
2θ (°), Rel. int.
11.2, 24.2
29.7, 66.9
34.1, 28.5
35.8, 100.0
39.2, 51.3
52.9, 33.3
56.6, 17.9
61.9, 10.0
65.2, 15.3
65.7, 22.1
67.7, 16.2
68.8, 31.4

=====

No. 2
Ca2Ga5Ag12: theoretical XRD peak list (Cu Kα X-rays), based on a GGA-PBE-relaxed structure.
Intensities are scaled so that the largest is 100.

Atomic structure:
```
19
Lattice="4.7521 2.7436 4.7348 -4.7521 2.7436 4.7348 0.0000 -5.4872 4.7348" Properties=species:S:1:pos:R:3 pbc="T T T"
Ca 0.0000 0.0000 2.2735
Ca 0.0000 0.0000 11.9309
Ga -2.3760 -1.3718 4.7348
Ga 0.0000 0.0000 5.8328
Ga -2.3760 1.3718 9.4696
Ga 0.0000 2.7436 4.7348
Ga 0.0000 0.0000 8.3716
Ag 0.0000 -2.6628 4.5386
Ag -2.3061 1.3314 4.5386
Ag -1.4493 -2.5103 7.1022
Ag -2.8986 0.0000 7.1022
Ag -2.3061 -1.3314 9.6658
Ag 1.4493 -2.5103 7.1022
Ag -1.4493 2.5103 7.1022
Ag 2.3061 1.3314 4.5386
Ag 2.8986 0.0000 7.1022
Ag 1.4493 2.5103 7.1022
Ag 2.3061 -1.3314 9.6658
Ag 0.0000 2.6628 9.6658
```

Top 12 peaks for 10° ≤ 2θ ≤ 90°, sorted by position:
2θ (°), Rel. int.
18.7, 37.0
32.6, 17.5
33.3, 17.7
37.9, 100.0
38.0, 26.1
42.6, 92.0
61.8, 12.1
65.2, 10.2
68.4, 15.2
68.6, 11.9
81.0, 14.4
84.0, 11.1

=====

No. 3
Cs2In7Pb12: theoretical XRD peak list (Cu Kα X-rays), based on a GGA-PBE-relaxed structure.
Intensities are scaled so that the largest is 100.

Atomic structure:
```
21
Lattice="14.7984 0.0000 0.0000 -7.3992 12.8158 0.0000 0.0000 0.0000 3.5943" Properties=species:S:1:pos:R:3 pbc="T T T"
Cs 0.0000 8.5438 0.8797
Cs 7.3992 4.2719 2.7146
In 0.0000 0.0000 1.7971
In -1.1657 5.2988 2.6615
In -2.2274 11.1758 2.6615
In 4.0061 3.6589 0.9328
In 3.3931 9.1568 2.6615
In 9.6266 1.6399 0.9328
In 8.5649 7.5169 0.9328
Pb -3.5217 7.9524 2.6929
Pb -5.0424 10.7282 0.8284
Pb 0.6295 3.0848 0.8284
Pb 2.9862 0.9972 2.7659
Pb 2.2731 5.7897 2.6929
Pb 6.1505 0.9263 0.9014
Pb 1.2486 11.8895 2.6929
Pb 5.1261 7.0261 0.9014
Pb 4.4130 11.8185 0.8284
Pb 6.7697 9.7310 2.7659
Pb 12.4416 2.0875 2.7659
Pb 10.9209 4.8634 0.9014
```

Top 12 peaks for 10° ≤ 2θ ≤ 90°, sorted by position:
2θ (°), Rel. int.
12.0, 7.3
30.4, 10.9
31.0, 100.0
32.0, 85.1
32.6, 9.0
35.5, 17.1
45.1, 24.7
50.8, 8.8
56.4, 27.8
57.0, 8.7
61.3, 23.3
65.0, 7.4

=====

No. 4
Ti2Ga2Rh: theoretical XRD peak list (Cu Kα X-rays), based on a GGA-PBE-relaxed structure.
Intensities are scaled so that the largest is 100.

Atomic structure:
```
20
Lattice="6.4711 0.0000 0.0000 0.0000 6.4711 0.0000 0.0000 0.0000 7.5300" Properties=species:S:1:pos:R:3 pbc="T T T"
Ti 1.0809 2.1446 0.0000
Ti 1.0909 2.1546 3.7650
Ti 2.1446 5.3902 0.0000
Ti 2.1546 5.3802 3.7650
Ti 4.3165 1.0909 3.7650
Ti 4.3265 1.0809 0.0000
Ti 5.3802 4.3165 3.7650
Ti 5.3902 4.3265 0.0000
Ga 0.8866 4.1222 1.8825
Ga 0.8866 4.1222 5.6475
Ga 2.3489 0.8866 1.8825
Ga 2.3489 0.8866 5.6475
Ga 4.1222 5.5845 1.8825
Ga 4.1222 5.5845 5.6475
Ga 5.5845 2.3489 1.8825
Ga 5.5845 2.3489 5.6475
Rh 0.0000 0.0000 2.2805
Rh 0.0000 0.0000 5.2494
Rh 3.2355 3.2355 1.4845
Rh 3.2355 3.2355 6.0455
```

Top 12 peaks for 10° ≤ 2θ ≤ 90°, sorted by position:
2θ (°), Rel. int.
23.6, 26.0
36.6, 22.4
39.3, 100.0
39.4, 13.6
44.3, 58.8
48.0, 13.3
48.3, 14.5
50.8, 25.0
64.3, 14.7
67.6, 13.3
84.1, 13.5
84.7, 17.3

=====

No. 5
Ce2Ag3Sb3: theoretical XRD peak list (Cu Kα X-rays), based on a GGA-PBE-relaxed structure.
Intensities are scaled so that the largest is 100.

Atomic structure:
```
8
Lattice="3.0255 0.0000 0.0000 0.0000 3.0255 0.0000 0.0000 0.0000 23.5673" Properties=species:S:1:pos:R:3 pbc="T T T"
Ce 0.0000 0.0000 5.8534
Ce 0.0000 0.0000 17.7138
Ag 0.0000 0.0000 0.0000
Ag 0.0000 0.0000 8.9035
Ag 0.0000 0.0000 14.6638
Sb 0.0000 0.0000 2.7077
Sb 0.0000 0.0000 11.7836
Sb 0.0000 0.0000 20.8595
```

Top 12 peaks for 10° ≤ 2θ ≤ 90°, sorted by position:
2θ (°), Rel. int.
29.5, 100.0
30.3, 43.4
42.2, 37.4
42.8, 66.7
52.9, 35.4
61.3, 12.1
63.1, 6.1
69.5, 16.4
69.9, 15.0
71.2, 12.9
77.7, 22.4
78.9, 8.7

=====

No. 6
PPb: theoretical XRD peak list (Cu Kα X-rays), based on a GGA-PBE-relaxed structure.
Intensities are scaled so that the largest is 100.

Atomic structure:
```
8
Lattice="9.7733 0.0000 0.0000 0.0000 4.3308 0.0000 -0.9422 0.0000 5.5866" Properties=species:S:1:pos:R:3 pbc="T T T"
P 0.5751 0.0000 2.5490
P 3.3694 2.1654 3.0376
P 5.4617 2.1654 2.5490
P 8.2561 0.0000 3.0376
Pb 1.4118 2.1654 1.0214
Pb 2.5327 0.0000 4.5652
Pb 6.2984 0.0000 1.0214
Pb 7.4194 2.1654 4.5652
```

Top 12 peaks for 10° ≤ 2θ ≤ 90°, sorted by position:
2θ (°), Rel. int.
18.4, 16.5
22.3, 26.0
22.5, 19.9
26.4, 51.3
26.7, 100.0
34.3, 19.3
34.8, 38.7
40.8, 36.1
41.7, 17.5
44.5, 15.7
50.0, 18.3
57.2, 18.2

=====

No. 7
Na4BPd3O8: theoretical XRD peak list (Cu Kα X-rays), based on a GGA-PBE-relaxed structure.
Intensities are scaled so that the largest is 100.

Atomic structure:
```
16
Lattice="6.0686 -2.8285 0.0000 6.0686 2.8285 0.0000 -2.6597 0.0000 5.5932" Properties=species:S:1:pos:R:3 pbc="T T T"
Na 0.0000 0.0000 0.0000
Na 1.7044 1.4143 2.7966
Na 1.7044 -1.4143 2.7966
Na 6.0686 0.0000 0.0000
B -1.3299 0.0000 2.7966
Pd 3.0343 1.4143 0.0000
Pd 3.0343 -1.4143 0.0000
Pd 4.7387 0.0000 2.7966
O 3.9744 1.7176 3.6185
O 5.5030 1.7176 1.9746
O 1.3452 0.0000 4.5892
O 3.1138 0.0000 1.5031
O 6.3636 0.0000 4.0901
O 8.1322 0.0000 1.0040
O 3.9744 -1.7176 3.6185
O 5.5030 -1.7176 1.9746
```

Top 12 peaks for 10° ≤ 2θ ≤ 90°, sorted by position:
2θ (°), Rel. int.
17.1, 100.0
17.6, 23.5
27.2, 37.0
32.0, 35.4
32.7, 64.0
34.6, 24.9
35.6, 15.4
35.7, 44.8
43.4, 61.9
53.6, 25.3
57.1, 23.0
60.3, 15.8

=====

No. 8
NdDy2Y5: theoretical XRD peak list (Cu Kα X-rays), based on a GGA-PBE-relaxed structure.
Intensities are scaled so that the largest is 100.

Atomic structure:
```
16
Lattice="5.7982 0.0000 0.0000 0.0000 11.2354 0.0000 -2.4411 0.0000 8.1867" Properties=species:S:1:pos:R:3 pbc="T T T"
Nd -0.3628 2.8089 1.2640
Nd 3.7198 8.4266 6.9227
Dy -0.0982 1.3086 7.8867
Dy -0.0982 4.3091 7.8867
Dy 3.4552 6.9263 0.2999
Dy 3.4552 9.9268 0.2999
Y 0.4472 6.4830 1.7147
Y 0.4472 10.3702 1.7147
Y 0.1354 2.8089 4.7648
Y 0.2356 6.4919 5.0816
Y 0.2356 10.3613 5.0816
Y 3.1214 0.8741 3.1051
Y 3.1214 4.7436 3.1051
Y 3.2216 8.4266 3.4219
Y 2.9098 0.8653 6.4719
Y 2.9098 4.7525 6.4719
```

Top 12 peaks for 10° ≤ 2θ ≤ 90°, sorted by position:
2θ (°), Rel. int.
10.8, 77.1
23.2, 21.8
29.1, 90.6
30.6, 49.7
30.9, 50.7
31.6, 47.8
31.9, 43.1
32.1, 100.0
32.4, 88.6
35.8, 24.0
44.5, 32.9
59.5, 34.8

=====

No. 9
NbW: theoretical XRD peak list (Cu Kα X-rays), based on a GGA-PBE-relaxed structure.
Intensities are scaled so that the largest is 100.

Atomic structure:
```
4
Lattice="3.2316 0.0000 0.0000 0.0000 3.2316 0.0000 0.0000 0.0000 6.5237" Properties=species:S:1:pos:R:3 pbc="T T T"
Nb 0.8079 0.8079 0.8456
Nb 2.4237 2.4237 5.6781
W 0.8079 0.8079 4.0389
W 2.4237 2.4237 2.4848
```

Top 12 peaks for 10° ≤ 2θ ≤ 90°, sorted by position:
2θ (°), Rel. int.
13.6, 18.0
30.9, 7.0
39.2, 100.0
39.4, 49.6
41.9, 5.0
50.6, 4.2
56.4, 8.6
57.0, 16.9
71.0, 17.1
71.4, 34.2
84.4, 10.9
84.9, 5.5

=====

No. 10
Rb3Np2PbS6: theoretical XRD peak list (Cu Kα X-rays), based on a GGA-PBE-relaxed structure.
Intensities are scaled so that the largest is 100.

Atomic structure:
```
12
Lattice="3.6304 -6.2825 0.0000 3.6304 6.2825 0.0000 -2.4216 0.0000 7.6394" Properties=species:S:1:pos:R:3 pbc="T T T"
Rb 0.0000 0.0000 0.0000
Rb 3.6304 2.0018 0.0000
Rb 3.6304 -2.0018 0.0000
Np 2.4196 4.1815 3.8197
Np 2.4196 -4.1815 3.8197
Pb 2.4196 0.0000 3.8197
S 1.1119 2.2591 2.3331
S -0.1869 0.0000 5.2894
S 1.1119 -2.2591 2.3331
S 3.7273 2.2591 5.3063
S 5.0261 0.0000 2.3500
S 3.7273 -2.2591 5.3063
```

Top 12 peaks for 10° ≤ 2θ ≤ 90°, sorted by position:
2θ (°), Rel. int.
11.6, 50.6
23.3, 27.7
24.8, 17.2
25.8, 59.0
29.1, 100.0
40.1, 37.7
43.2, 34.4
46.9, 16.5
49.6, 24.1
52.9, 18.1
66.2, 14.7
70.6, 14.9

=====

No. 11
Na4BeAlSi4ClO12: theoretical XRD peak list (Cu Kα X-rays), based on a GGA-PBE-relaxed structure.
Intensities are scaled so that the largest is 100.

Atomic structure:
```
23
Lattice="-4.3619 4.3619 4.4820 4.3619 -4.3619 4.4820 4.3619 4.3619 -4.4820" Properties=species:S:1:pos:R:3 pbc="T T T"
Na 3.0094 2.6401 -1.6249
Na 1.3525 1.7219 2.8571
Na 1.7219 -1.3525 6.1070
Na 2.6401 5.7145 1.6249
Be 0.0000 4.3619 2.2410
Al 4.3619 0.0000 2.2410
Si 6.5109 0.1122 -0.0375
Si 0.1122 2.2130 0.0375
Si 4.2497 2.1490 4.5196
Si -2.1490 4.2497 4.4445
Cl 0.0000 0.0000 4.4820
O 3.0662 -0.6622 1.2392
O 3.1931 -3.0494 3.9605
O 1.3126 1.1689 0.5215
O 5.0241 -1.2957 3.2428
O 5.6577 0.6622 1.2392
O -0.3377 3.0370 1.3341
O 3.6998 1.2957 3.2428
O 1.1689 7.4113 -0.5215
O 0.3377 5.6869 1.3341
O 1.3250 4.0242 3.1479
O -1.3250 4.6997 3.1479
O 3.0494 3.1931 5.0035
```

Top 12 peaks for 10° ≤ 2θ ≤ 90°, sorted by position:
2θ (°), Rel. int.
14.2, 33.3
24.6, 32.6
24.9, 100.0
32.4, 8.2
35.3, 18.1
37.9, 11.3
38.5, 9.7
42.9, 10.1
43.4, 13.9
44.0, 22.6
53.5, 7.0
59.1, 8.9

=====

No. 12
MgAl2Si: theoretical XRD peak list (Cu Kα X-rays), based on a GGA-PBE-relaxed structure.
Intensities are scaled so that the largest is 100.

Atomic structure:
```
8
Lattice="2.9396 0.0000 0.0000 0.0000 4.6748 0.0000 0.0000 0.0000 10.3282" Properties=species:S:1:pos:R:3 pbc="T T T"
Mg 0.0000 0.0000 0.0000
Mg 1.4698 2.3374 5.1641
Al 0.0000 2.3374 2.2473
Al 0.0000 2.3374 8.0809
Al 1.4698 0.0000 2.9168
Al 1.4698 0.0000 7.4114
Si 0.0000 0.0000 5.1641
Si 1.4698 2.3374 0.0000
```

Top 12 peaks for 10° ≤ 2θ ≤ 90°, sorted by position:
2θ (°), Rel. int.
20.9, 6.2
32.3, 6.8
34.7, 29.6
38.5, 30.9
40.2, 100.0
48.2, 6.4
52.8, 17.0
63.3, 6.9
66.0, 10.9
70.8, 18.0
76.6, 9.5
86.9, 8.0

=====

No. 13
CaEu4O5: theoretical XRD peak list (Cu Kα X-rays), based on a GGA-PBE-relaxed structure.
Intensities are scaled so that the largest is 100.

Atomic structure:
```
10
Lattice="-3.9826 3.9826 2.5220 3.9826 -3.9826 2.5220 3.9826 3.9826 -2.5220" Properties=species:S:1:pos:R:3 pbc="T T T"
Ca 0.0000 0.0000 0.0000
Eu 4.7784 1.5977 0.0000
Eu 1.5977 3.1867 0.0000
Eu 2.3848 0.7958 2.5220
Eu -0.7958 2.3848 2.5220
O 2.3329 0.7840 0.0000
O 3.1985 -1.6497 2.5220
O 0.0000 0.0000 2.5220
O 0.7840 5.6322 0.0000
O 1.6497 3.1985 2.5220
```

Top 12 peaks for 10° ≤ 2θ ≤ 90°, sorted by position:
2θ (°), Rel. int.
15.7, 7.8
20.8, 8.9
22.3, 4.0
30.7, 100.0
35.6, 83.6
51.3, 57.2
61.0, 44.5
64.0, 19.0
75.5, 5.9
83.6, 19.3
86.3, 16.8
86.4, 8.2